Entry 1:
This entry pairs a crystal structure of CeAl20Co2 with its calculated powder diffractogram. Radiation: copper Kα. Structure: a cell relaxed with PBE.

Main lines, in order of rising 2θ (10° ≤ 2θ ≤ 90°):
(hkl), d_spacing, 2theta, I_rel
2 2 0, 5.092, 17.42, 53
3 1 1, 4.343, 20.45, 98
4 4 0, 2.546, 35.25, 53
5 3 1, 2.434, 36.92, 87
6 2 0, 2.277, 39.57, 64
5 3 3, 2.196, 41.10, 100
6 2 2, 2.171, 41.59, 82
6 6 0, 1.697, 54.03, 45
8 8 0, 1.273, 74.54, 45
11 3 3, 1.222, 78.26, 27

Unit cell a=14.4026 b=14.4026 c=14.4026 alpha=90.00 beta=90.00 gamma=90.00
Space group Fd-3m (No. 227, origin choice 2)
Asymmetric unit:
Ce 0.1250 0.1250 0.1250 [8 per cell]
Al 0.0000 0.0000 0.0000 [16 per cell]
Al 0.0097 0.3750 0.8750 [48 per cell]
Al 0.0582 0.0582 0.3268 [96 per cell]
Co 0.0000 0.0000 0.5000 [16 per cell]


Entry 2:
This entry pairs a crystal structure of DyLuMg2 with its calculated powder diffractogram. Radiation: copper Kα. Structure: a cell relaxed with PBE.

Main lines, in order of rising 2θ (10° ≤ 2θ ≤ 90°):
(hkl), d_spacing, 2theta, I_rel
2 0 0, 3.763, 23.65, 65
2 2 0, 2.661, 33.69, 100
2 2 2, 2.172, 41.57, 20
4 0 0, 1.881, 48.38, 18
4 2 0, 1.683, 54.53, 28
4 2 2, 1.536, 60.25, 38
4 4 0, 1.330, 70.83, 12
6 0 0, 1.254, 75.85, 13
6 2 0, 1.190, 80.77, 16
6 2 2, 1.135, 85.61, 8

Unit cell a=7.5255 b=7.5255 c=7.5255 alpha=90.00 beta=90.00 gamma=90.00
Space group Fm-3m (No. 225)
Asymmetric unit:
Dy 0.0000 0.0000 0.0000 [4 per cell]
Lu 0.0000 0.0000 0.5000 [4 per cell]
Mg 0.2500 0.2500 0.2500 [8 per cell]


Entry 3:
This entry pairs a crystal structure of CaLaI5 with its calculated powder diffractogram. Radiation: copper Kα. Structure: a cell relaxed with PBE.

Main lines, in order of rising 2θ (10° ≤ 2θ ≤ 90°):
(hkl), d_spacing, 2theta, I_rel
0 0 2, 7.772, 11.39, 59
0 0 4, 3.886, 22.89, 31
5 0 2, 3.414, 26.10, 98
3 1 2, 3.308, 26.95, 100
2 1 4, 2.804, 31.92, 83
6 1 1, 2.550, 35.19, 33
0 2 0, 2.238, 40.29, 30
3 1 6, 2.114, 42.78, 25
8 1 0, 2.098, 43.11, 26
5 2 2, 1.872, 48.64, 35

Unit cell a=19.0028 b=4.4766 c=15.5432 alpha=90.00 beta=90.00 gamma=90.00
Space group Pnma (No. 62)
Asymmetric unit:
Ca 0.1557 0.2500 0.2462 [4 per cell]
La 0.0933 0.2500 0.7391 [4 per cell]
I 0.0314 0.7500 0.8614 [4 per cell]
I 0.0553 0.7500 0.3574 [4 per cell]
I 0.1538 0.7500 0.1107 [4 per cell]
I 0.1567 0.7500 0.6178 [4 per cell]
I 0.2379 0.2500 0.8443 [4 per cell]


Entry 4:
This entry pairs a crystal structure of LuAg3 with its calculated powder diffractogram. Radiation: copper Kα. Structure: a cell relaxed with PBE.

Main lines, in order of rising 2θ (10° ≤ 2θ ≤ 90°):
(hkl), d_spacing, 2theta, I_rel
1 1 1, 3.966, 22.42, 3
2 0 0, 3.435, 25.94, 2
2 2 0, 2.429, 37.02, 100
3 1 1, 2.071, 43.71, 2
4 0 0, 1.717, 53.35, 17
3 3 1, 1.576, 58.58, 1
4 2 0, 1.536, 60.25, 1
4 2 2, 1.402, 66.71, 34
4 4 0, 1.214, 78.82, 11
5 3 1, 1.161, 83.21, 1

Unit cell a=6.8691 b=6.8691 c=6.8691 alpha=90.00 beta=90.00 gamma=90.00
Space group Fm-3m (No. 225)
Asymmetric unit:
Lu 0.0000 0.0000 0.0000 [4 per cell]
Ag 0.0000 0.0000 0.5000 [4 per cell]
Ag 0.2500 0.2500 0.2500 [8 per cell]


Entry 5:
This entry pairs a crystal structure of Tb2ZnCu with its calculated powder diffractogram. Radiation: copper Kα. Structure: a cell relaxed with PBE.

Main lines, in order of rising 2θ (10° ≤ 2θ ≤ 90°):
(hkl), d_spacing, 2theta, I_rel
1 0 0, 3.544, 25.13, 12
0 0 2, 3.525, 25.26, 6
1 1 0, 2.502, 35.90, 100
1 1 2, 2.043, 44.35, 5
2 0 0, 1.772, 51.58, 12
0 0 4, 1.763, 51.87, 6
2 1 2, 1.446, 64.46, 24
1 1 4, 1.442, 64.65, 12
2 0 4, 1.250, 76.18, 7
3 1 0, 1.120, 86.95, 10

Unit cell a=3.5441 b=3.5441 c=7.0507 alpha=90.00 beta=90.00 gamma=90.00
Space group P4/mmm (No. 123)
Asymmetric unit:
Tb 0.0000 0.0000 0.2454 [2 per cell]
Zn 0.5000 0.5000 0.5000 [1 per cell]
Cu 0.5000 0.5000 0.0000 [1 per cell]


Entry 6:
This entry pairs a crystal structure of Ba3ErRu2O9 with its calculated powder diffractogram. Radiation: copper Kα. Structure: a cell relaxed with PBE.

Main lines, in order of rising 2θ (10° ≤ 2θ ≤ 90°):
(hkl), d_spacing, 2theta, I_rel
1 0 3, 3.528, 25.25, 12
1 1 0, 2.970, 30.09, 100
2 0 3, 2.272, 39.66, 10
2 0 4, 2.100, 43.08, 23
1 0 7, 1.926, 47.19, 10
3 0 0, 1.715, 53.44, 32
2 0 7, 1.616, 56.98, 8
2 2 0, 1.485, 62.55, 15
3 1 4, 1.328, 70.96, 11
4 1 0, 1.123, 86.73, 13

Unit cell a=5.9415 b=5.9415 c=14.5369 alpha=90.00 beta=90.00 gamma=120.00
Space group P6_3/mmc (No. 194)
Asymmetric unit:
Ba 0.0000 0.0000 0.2500 [2 per cell]
Ba 0.3333 0.6667 0.0935 [4 per cell]
Er 0.0000 0.0000 0.0000 [2 per cell]
Ru 0.3333 0.6667 0.6640 [4 per cell]
O 0.0192 0.5096 0.7500 [6 per cell]
O 0.1754 0.3508 0.5874 [12 per cell]


Entry 7:
This entry pairs a crystal structure of Na2RuAuF6 with its calculated powder diffractogram. Radiation: copper Kα. Structure: a cell relaxed with PBE.

Main lines, in order of rising 2θ (10° ≤ 2θ ≤ 90°):
(hkl), d_spacing, 2theta, I_rel
2 0 0, 4.399, 20.19, 100
2 2 0, 3.111, 28.70, 95
3 1 1, 2.653, 33.79, 13
4 0 0, 2.200, 41.03, 40
4 2 0, 1.967, 46.14, 44
4 2 2, 1.796, 50.84, 39
4 4 0, 1.555, 59.43, 24
6 0 0, 1.466, 63.44, 21
6 2 0, 1.391, 67.31, 18
6 4 2, 1.176, 81.95, 21

Unit cell a=8.7982 b=8.7982 c=8.7982 alpha=90.00 beta=90.00 gamma=90.00
Space group Fm-3m (No. 225)
Asymmetric unit:
Na 0.2500 0.2500 0.2500 [8 per cell]
Ru 0.0000 0.0000 0.0000 [4 per cell]
Au 0.0000 0.0000 0.5000 [4 per cell]
F 0.0000 0.0000 0.2302 [24 per cell]


Entry 8:
This entry pairs a crystal structure of HfMg6Cr with its calculated powder diffractogram. Radiation: copper Kα. Structure: a cell relaxed with PBE.

Main lines, in order of rising 2θ (10° ≤ 2θ ≤ 90°):
(hkl), d_spacing, 2theta, I_rel
0 0 2, 5.525, 16.04, 39
0 1 1, 5.440, 16.30, 100
1 0 2, 3.686, 24.15, 31
1 1 1, 3.660, 24.32, 44
0 2 2, 2.720, 32.93, 37
1 1 3, 2.671, 33.55, 35
2 0 0, 2.474, 36.31, 35
1 0 4, 2.412, 37.28, 58
1 2 2, 2.383, 37.74, 85
2 2 2, 1.830, 49.83, 23

Unit cell a=4.9479 b=6.2493 c=11.0496 alpha=90.00 beta=90.00 gamma=90.00
Space group Amm2 (No. 38)
Asymmetric unit:
Hf 0.0000 0.0000 0.0000 [2 per cell]
Mg 0.0000 0.0000 0.4838 [2 per cell]
Mg 0.0000 0.2428 0.2394 [4 per cell]
Mg 0.5000 0.0000 0.6523 [2 per cell]
Mg 0.5000 0.2453 0.9013 [4 per cell]
Cr 0.5000 0.0000 0.1386 [2 per cell]


Entry 9:
This entry pairs a crystal structure of NdCrB4 with its calculated powder diffractogram. Radiation: copper Kα. Structure: a cell relaxed with PBE.

Main lines, in order of rising 2θ (10° ≤ 2θ ≤ 90°):
(hkl), d_spacing, 2theta, I_rel
1 2 0, 4.196, 21.17, 27
0 0 1, 3.549, 25.09, 69
1 3 0, 3.271, 27.27, 39
2 1 0, 2.921, 30.61, 82
1 2 1, 2.710, 33.06, 25
1 3 1, 2.405, 37.39, 44
2 1 1, 2.255, 39.98, 100
1 4 1, 2.112, 42.82, 26
2 3 1, 1.980, 45.84, 22
2 1 2, 1.517, 61.10, 23

Unit cell a=6.0358 b=11.6740 c=3.5491 alpha=90.00 beta=90.00 gamma=90.00
Space group Pbam (No. 55)
Asymmetric unit:
Nd 0.1238 0.1514 0.0000 [4 per cell]
Cr 0.1200 0.4223 0.0000 [4 per cell]
B 0.0229 0.6888 0.5000 [4 per cell]
B 0.1112 0.5456 0.5000 [4 per cell]
B 0.1408 0.9673 0.5000 [4 per cell]
B 0.2233 0.8185 0.5000 [4 per cell]


Entry 10:
This entry pairs a crystal structure of CaAlCuSi2O9 with its calculated powder diffractogram. Radiation: copper Kα. Structure: a cell relaxed with PBE.

Main lines, in order of rising 2θ (10° ≤ 2θ ≤ 90°):
(hkl), d_spacing, 2theta, I_rel
2 0 0, 6.354, 13.94, 43
0 0 1, 4.774, 18.59, 45
1 1 -1, 4.413, 20.12, 100
1 1 1, 3.953, 22.49, 38
2 0 1, 3.507, 25.40, 45
3 1 -1, 3.367, 26.48, 39
4 0 -1, 2.915, 30.67, 72
1 3 1, 2.834, 31.57, 77
2 4 1, 2.220, 40.63, 54
2 4 2, 1.697, 54.03, 32

Unit cell a=12.9485 b=11.4714 c=4.8643 alpha=90.00 beta=101.06 gamma=90.00
Space group C2/m (No. 12)
Asymmetric unit:
Ca 0.0000 0.1664 0.0000 [4 per cell]
Al 0.2500 0.2500 0.0000 [4 per cell]
Cu 0.2256 0.0000 0.0631 [4 per cell]
Si 0.1127 0.3677 0.4371 [8 per cell]
O 0.0000 0.3123 0.5000 [4 per cell]
O 0.0819 0.0000 0.2007 [4 per cell]
O 0.0910 0.5000 0.3134 [4 per cell]
O 0.1437 0.2829 0.2043 [8 per cell]
O 0.1642 0.1197 0.8339 [8 per cell]
O 0.1966 0.3727 0.7363 [8 per cell]


Entry 11:
This entry pairs a crystal structure of RePt with its calculated powder diffractogram. Radiation: copper Kα. Structure: a cell relaxed with PBE.

Main lines, in order of rising 2θ (10° ≤ 2θ ≤ 90°):
(hkl), d_spacing, 2theta, I_rel
1 0 0, 2.420, 37.15, 24
0 0 2, 2.251, 40.06, 26
1 0 1, 2.131, 42.41, 100
1 0 2, 1.648, 55.78, 15
1 1 0, 1.397, 66.98, 17
1 0 3, 1.275, 74.39, 19
2 0 0, 1.210, 79.16, 3
1 1 2, 1.187, 81.00, 21
2 0 1, 1.169, 82.56, 15
0 0 4, 1.125, 86.48, 3

Unit cell a=2.7944 b=2.7944 c=4.5011 alpha=90.00 beta=90.00 gamma=120.00
Space group P-6m2 (No. 187)
Asymmetric unit:
Re 0.0000 0.0000 0.0000 [1 per cell]
Pt 0.3333 0.6667 0.5000 [1 per cell]